Entry 1:
For Ti5Al8Au, a GGA-PBE-relaxed structure gives the calculated powder diffractogram in this record (copper Kα).
Kinematic intensities with the Lorentz-polarization factor, no thermal factor.

Top 10 peaks for 5° ≤ 2θ ≤ 70°, low angle first:
15.86°, I = 65.7; 16.04°, I = 53.9; 27.76°, I = 92.2; 28.08°, I = 50.4; 36.01°, I = 100.0; 36.70°, I = 41.1; 42.89°, I = 46.9; 43.11°, I = 60.1; 43.48°, I = 53.1; 48.95°, I = 33.7

Structural model:
a = 6.793 Å, b = 6.793 Å, c = 6.793 Å
α = 108.87°, β = 108.87°, γ = 110.68°
Element x y z (fractional)
1 Ti 0.000 0.000 0.000
2 Ti 0.028 0.233 0.582
3 Ti 0.554 0.972 0.206
4 Ti 0.651 0.446 0.418
5 Ti 0.767 0.349 0.794
6 Al 0.120 0.689 0.804
7 Al 0.258 0.480 0.094
8 Al 0.311 0.115 0.431
9 Al 0.386 0.165 0.906
10 Al 0.520 0.614 0.779
11 Al 0.683 0.880 0.569
12 Al 0.835 0.742 0.221
13 Al 0.885 0.317 0.196
14 Au 0.250 0.750 0.500

Entry 2:
For Na3Pm2AlS6, a GGA-PBE-relaxed structure gives the calculated powder diffractogram in this record (copper Kα).
Kinematic intensities with the Lorentz-polarization factor, no thermal factor.

Top 10 peaks for 5° ≤ 2θ ≤ 70°, low angle first:
13.25°, I = 65.7; 15.61°, I = 9.3; 26.44°, I = 25.9; 27.56°, I = 16.8; 31.67°, I = 100.0; 41.10°, I = 15.4; 44.83°, I = 34.2; 45.96°, I = 32.6; 48.06°, I = 9.6; 56.85°, I = 10.7

Structural model:
a = 6.842 Å, b = 6.842 Å, c = 7.067 Å
α = 99.34°, β = 99.34°, γ = 120.06°
Element x y z (fractional)
1 Na 0.000 0.000 0.000
2 Na 0.335 0.665 0.000
3 Na 0.665 0.335 0.000
4 Pm 0.167 0.833 0.500
5 Pm 0.833 0.167 0.500
6 Al 0.500 0.500 0.500
7 S 0.123 0.426 0.278
8 S 0.274 0.274 0.715
9 S 0.426 0.123 0.278
10 S 0.574 0.877 0.722
11 S 0.726 0.726 0.285
12 S 0.877 0.574 0.722

Entry 3:
For Rh3Se, a GGA-PBE-relaxed structure gives the calculated powder diffractogram in this record (copper Kα).
Kinematic intensities with the Lorentz-polarization factor, no thermal factor.

Top 10 peaks for 5° ≤ 2θ ≤ 70°, low angle first:
32.19°, I = 9.3; 38.79°, I = 89.5; 38.96°, I = 23.2; 41.03°, I = 13.2; 41.53°, I = 42.5; 42.29°, I = 100.0; 43.53°, I = 46.7; 46.71°, I = 9.6; 55.61°, I = 12.8; 61.73°, I = 25.8

Structural model:
a = 2.906 Å, b = 4.158 Å, c = 5.174 Å
α = 90.00°, β = 105.63°, γ = 90.00°
Element x y z (fractional)
1 Rh 0.000 0.000 0.000
2 Rh 0.369 0.500 0.736
3 Rh 0.631 0.500 0.264
4 Se 0.000 0.000 0.500

Entry 4:
For Nd5BiSb2, a GGA-PBE-relaxed structure gives the calculated powder diffractogram in this record (copper Kα).
Kinematic intensities with the Lorentz-polarization factor, no thermal factor.

Top 10 peaks for 5° ≤ 2θ ≤ 70°, low angle first:
29.49°, I = 7.5; 31.11°, I = 31.2; 31.74°, I = 100.0; 34.14°, I = 8.2; 35.34°, I = 19.1; 43.11°, I = 7.5; 47.79°, I = 16.3; 54.12°, I = 8.1; 55.76°, I = 20.2; 61.19°, I = 11.2

Structural model:
a = 7.117 Å, b = 6.588 Å, c = 7.671 Å
α = 59.31°, β = 52.75°, γ = 67.94°
Element x y z (fractional)
1 Nd 0.000 0.000 0.000
2 Nd 0.040 0.536 0.464
3 Nd 0.093 0.530 0.907
4 Nd 0.530 0.093 0.470
5 Nd 0.536 0.040 0.960
6 Bi 0.598 0.598 0.402
7 Sb 0.037 0.037 0.463
8 Sb 0.537 0.537 0.963